RbNbAg2I8: theoretical powder XRD pattern (Cu Kα X-rays), based on a DFT-relaxed cell (GGA-PBE, Alexandria).
Kinematic intensities with the Lorentz-polarization factor, no thermal factor.

Peak list (12 most intense, 2θ = 5–70°, low angle first)
- 11.12°, rel. 100
- 18.07°, rel. 30
- 24.21°, rel. 44
- 24.66°, rel. 36
- 25.65°, rel. 39
- 26.66°, rel. 32
- 29.29°, rel. 31
- 29.73°, rel. 25
- 33.74°, rel. 35
- 35.63°, rel. 26
- 42.25°, rel. 30
- 42.75°, rel. 29

Structural model:
a b c (Å): 7.2181 8.4966 9.6191
angles (deg): 69.50 82.93 87.75
Sites, in units of the cell vectors:
Rb  0.0000  0.0000  0.0000
Nb  0.0000  0.5000  0.5000
Ag  0.4649  0.5220  0.8406
Ag  0.5351  0.4780  0.1594
I  0.0809  0.4753  0.7866
I  0.1719  0.8101  0.3825
I  0.3370  0.3445  0.4529
I  0.4641  0.7944  0.9473
I  0.5359  0.2056  0.0527
I  0.6630  0.6555  0.5471
I  0.8281  0.1899  0.6175
I  0.9191  0.5247  0.2134

=====

Nd2AgI2: theoretical powder XRD pattern (Cu Kα X-rays), based on a DFT-relaxed cell (GGA-PBE, Alexandria).
Kinematic intensities with the Lorentz-polarization factor, no thermal factor.

Peak list (12 most intense, 2θ = 5–70°, low angle first)
- 7.33°, rel. 51
- 27.04°, rel. 100
- 29.66°, rel. 17
- 31.21°, rel. 43
- 34.66°, rel. 14
- 40.55°, rel. 42
- 42.25°, rel. 42
- 45.12°, rel. 10
- 50.88°, rel. 17
- 60.00°, rel. 13
- 63.53°, rel. 21
- 68.21°, rel. 14

Structural model:
a b c (Å): 12.3060 12.3060 12.3060
angles (deg): 20.02 20.02 20.02
Sites, in units of the cell vectors:
Nd  0.1158  0.1158  0.1158
Nd  0.8842  0.8842  0.8842
Ag  0.5000  0.5000  0.5000
I  0.2762  0.2762  0.2762
I  0.7238  0.7238  0.7238

=====

NiAg3I4: theoretical powder XRD pattern (Cu Kα X-rays), based on a DFT-relaxed cell (GGA-PBE, Alexandria).
Kinematic intensities with the Lorentz-polarization factor, no thermal factor.

Peak list (12 most intense, 2θ = 5–70°, low angle first)
- 23.87°, rel. 100
- 31.72°, rel. 3
- 37.52°, rel. 2
- 39.47°, rel. 75
- 42.53°, rel. 2
- 46.61°, rel. 30
- 46.73°, rel. 15
- 55.55°, rel. 2
- 56.98°, rel. 8
- 57.18°, rel. 4
- 62.71°, rel. 17
- 63.15°, rel. 3

Structural model:
a b c (Å): 7.9004 7.9004 7.9004
angles (deg): 131.70 131.70 70.71
Sites, in units of the cell vectors:
Ni  0.0000  0.0000  0.0000
Ag  0.2500  0.7500  0.5000
Ag  0.5000  0.5000  0.0000
Ag  0.7500  0.2500  0.5000
I  0.1144  0.1144  0.4617
I  0.3473  0.8856  0.0000
I  0.6527  0.6527  0.5383
I  0.8856  0.3473  0.0000

=====

NpAg2I6: theoretical powder XRD pattern (Cu Kα X-rays), based on a DFT-relaxed cell (GGA-PBE, Alexandria).
Kinematic intensities with the Lorentz-polarization factor, no thermal factor.

Peak list (12 most intense, 2θ = 5–70°, low angle first)
- 11.83°, rel. 22
- 13.77°, rel. 24
- 15.38°, rel. 16
- 23.81°, rel. 30
- 25.90°, rel. 100
- 33.31°, rel. 28
- 40.32°, rel. 42
- 43.14°, rel. 21
- 47.35°, rel. 16
- 48.55°, rel. 16
- 64.88°, rel. 11
- 65.00°, rel. 15

Structural model:
a b c (Å): 8.7165 8.7165 8.7165
angles (deg): 52.78 52.78 52.78
Sites, in units of the cell vectors:
Np  0.0000  0.0000  0.0000
Ag  0.2642  0.2642  0.2642
Ag  0.3994  0.3994  0.3994
I  0.0657  0.4004  0.7773
I  0.2407  0.9016  0.6156
I  0.4004  0.7773  0.0657
I  0.6156  0.2407  0.9016
I  0.7773  0.0657  0.4004
I  0.9016  0.6156  0.2407